1.
The following is a computed powder XRD pattern of Ac3Al9Ni2. It was derived from a PBE-relaxed structure, using Cu Kα.
No peak broadening, texture or thermal motion is included.

Structural model:
```
data_Ac3Al9Ni2
_symmetry_space_group_name_H-M 'I m m m'
_symmetry_Int_Tables_number 71
_symmetry_space_group_name_Hall '-I 2 2'
_cell_length_a 4.389
_cell_length_b 10.921
_cell_length_c 12.527
_cell_angle_alpha 90.00
_cell_angle_beta 90.00
_cell_angle_gamma 90.00
loop_
_atom_site_label
_atom_site_type_symbol
_atom_site_fract_x
_atom_site_fract_y
_atom_site_fract_z
_atom_site_occupancy
Ac1 Ac 0.000 0.000 0.000 1
Ac2 Ac 0.000 0.000 0.308 1
Al1 Al 0.000 0.287 0.111 1
Al2 Al 0.000 0.336 0.333 1
Al3 Al 0.000 0.500 0.000 1
Ni1 Ni 0.000 0.217 0.500 1
```

Principal peaks in the range 10 to 90 degrees two-theta, by intensity:
- (1 2 3), 2θ = 33.88°, rel. 100
- (1 1 0), 2θ = 21.83°, rel. 86
- (0 1 3), 2θ = 22.80°, rel. 61
- (1 3 0), 2θ = 31.94°, rel. 55
- (0 3 3), 2θ = 32.63°, rel. 52
- (0 2 0), 2θ = 16.23°, rel. 42

---

2.
The following is a computed powder XRD pattern of Ti6PtRh. It was derived from a PBE-relaxed structure, using Cu Kα.
No peak broadening, texture or thermal motion is included.

Structural model:
```
data_Ti6PtRh
_symmetry_space_group_name_H-M 'C m m m'
_symmetry_Int_Tables_number 65
_symmetry_space_group_name_Hall '-C 2 2'
_cell_length_a 7.332
_cell_length_b 8.188
_cell_length_c 4.305
_cell_angle_alpha 90.00
_cell_angle_beta 90.00
_cell_angle_gamma 90.00
loop_
_atom_site_label
_atom_site_type_symbol
_atom_site_fract_x
_atom_site_fract_y
_atom_site_fract_z
_atom_site_occupancy
Ti1 Ti 0.000 0.212 0.000 1
Ti2 Ti 0.205 0.500 0.000 1
Ti3 Ti 0.250 0.250 0.500 1
Pt1 Pt 0.000 0.000 0.500 1
Rh1 Rh 0.000 0.500 0.500 1
```

Principal peaks in the range 10 to 90 degrees two-theta, by intensity:
- (2 2 1), 2θ = 39.06°, rel. 100
- (0 0 2), 2θ = 41.97°, rel. 22
- (0 4 0), 2θ = 44.25°, rel. 16
- (0 0 1), 2θ = 20.63°, rel. 16
- (0 2 0), 2θ = 21.71°, rel. 16
- (2 2 3), 2θ = 74.73°, rel. 14